(1)
The following is a theoretical X-ray diffraction stick pattern of Ta2FeO6. It was derived from a DFT-relaxed cell (PBE+U, the Materials Project), using λ = 1.5418 Å (Cu Kα).

Cell and atoms:
```
data_Ta2FeO6
_chemical_formula_sum 'Ta12 Fe6 O36'
_cell_length_a 4.8200
_cell_length_b 9.3269
_cell_length_c 14.4386
_cell_angle_alpha 90.00
_cell_angle_beta 90.03
_cell_angle_gamma 90.00
_space_group_name_H-M_alt 'P 1 2 1'
_space_group_IT_number 3
loop_
_space_group_symop_operation_xyz
'x,y,z'
'-x,y,-z'
loop_
_atom_site_label
_atom_site_fract_x
_atom_site_fract_y
_atom_site_fract_z
Ta1 0.0000 0.0000 0.0000
Ta2 0.0000 0.3358 0.0000
Ta3 0.0042 0.3450 0.6650
Ta4 0.0049 0.9966 0.3314
Ta5 0.4957 0.4967 0.8332
Ta6 0.4970 0.8353 0.8344
Ta7 0.5000 0.1715 0.5000
Ta8 0.5000 0.8169 0.5000
Fe1 0.0000 0.6676 0.0000
Fe2 0.0051 0.6687 0.6651
Fe3 0.4934 0.1665 0.1690
Fe4 0.5000 0.5018 0.5000
O1 0.1752 0.1638 0.2701
O2 0.1892 0.1671 0.9379
O3 0.1941 0.4844 0.5973
O4 0.2028 0.1674 0.6019
O5 0.2048 0.8552 0.5954
O6 0.2058 0.4868 0.9314
O7 0.2070 0.8479 0.9313
O8 0.2093 0.8496 0.2656
O9 0.2136 0.4848 0.2661
O10 0.2914 0.9852 0.0980
O11 0.2926 0.3485 0.0978
O12 0.2935 0.3456 0.7655
O13 0.2945 0.3149 0.4309
O14 0.2952 0.9859 0.7640
O15 0.3012 0.6833 0.4307
O16 0.3034 0.0072 0.4346
O17 0.3104 0.6669 0.7713
O18 0.3117 0.6667 0.1051
```

Main lines, low angle first (10 to 90 degrees two-theta):
d 4.280, 20.76°, I = 15, hkl 1 1 0
d 3.406, 26.17°, I = 100, hkl 1 0 3
d 2.612, 34.33°, I = 80, hkl 1 3 0
d 2.408, 37.34°, I = 25, hkl 2 0 0
d 1.771, 51.62°, I = 64, hkl 1 3 6
d 1.703, 53.84°, I = 17, hkl 2 0 6
d 1.523, 60.80°, I = 12, hkl 3 0 3
d 1.427, 65.38°, I = 9, hkl 3 3 0
d 1.426, 65.47°, I = 9, hkl 0 3 9
d 1.414, 66.07°, I = 14, hkl 1 6 -3
d 1.228, 77.81°, I = 11, hkl 3 3 6
d 1.148, 84.37°, I = 8, hkl 2 6 6



(2)
The following is a theoretical X-ray diffraction stick pattern of TaFeO4. It was derived from a DFT-relaxed cell (PBE+U, the Materials Project), using λ = 1.5418 Å (Cu Kα).

Cell and atoms:
```
data_TaFeO4
_chemical_formula_sum 'Ta4 Fe4 O16'
_cell_length_a 9.0852
_cell_length_b 6.6928
_cell_length_c 6.1424
_cell_angle_alpha 90.00
_cell_angle_beta 132.51
_cell_angle_gamma 90.00
_space_group_name_H-M_alt 'C 1 m 1'
_space_group_IT_number 8
loop_
_space_group_symop_operation_xyz
'x,y,z'
'x,-y,z'
'x+1/2,y+1/2,z'
'x+1/2,-y+1/2,z'
loop_
_atom_site_label
_atom_site_fract_x
_atom_site_fract_y
_atom_site_fract_z
Ta1 0.0000 0.0000 0.0000
Ta2 0.9997 0.5000 0.2493
Fe1 0.0011 0.5000 0.7396
Fe2 0.4988 0.5000 0.4884
O1 0.1962 0.0000 0.9405
O2 0.1967 0.0000 0.4269
O3 0.3011 0.5000 0.0331
O4 0.3021 0.5000 0.5461
O5 0.4991 0.1968 0.9936
O6 0.4993 0.1981 0.4811
```

Main lines, low angle first (10 to 90 degrees two-theta):
d 4.526, 19.61°, I = 49, hkl 0 0 1
d 3.348, 26.63°, I = 100, hkl 2 0 0
d 2.691, 33.29°, I = 26, hkl 3 1 -1
d 2.576, 34.82°, I = 77, hkl 3 1 -2
d 2.367, 38.01°, I = 22, hkl 2 2 0
d 1.777, 51.41°, I = 8, hkl 2 2 1
d 1.743, 52.50°, I = 64, hkl 1 1 2
d 1.674, 54.85°, I = 16, hkl 4 0 0
d 1.497, 61.99°, I = 15, hkl 4 2 0
d 1.404, 66.63°, I = 19, hkl 1 3 2
d 1.396, 67.05°, I = 14, hkl 2 0 -4
d 1.132, 85.89°, I = 9, hkl 8 0 -4



(3)
The following is a theoretical X-ray diffraction stick pattern of TaFeO4. It was derived from a DFT-relaxed cell (PBE+U, the Materials Project), using λ = 1.5418 Å (Cu Kα).

Cell and atoms:
```
data_TaFeO4
_chemical_formula_sum 'Ta2 Fe2 O8'
_cell_length_a 6.5991
_cell_length_b 6.7871
_cell_length_c 3.0778
_cell_angle_alpha 90.00
_cell_angle_beta 90.00
_cell_angle_gamma 90.00
_space_group_name_H-M_alt 'C m m m'
_space_group_IT_number 65
_space_group_name_Hall '-C 2 2'
loop_
_atom_site_label
_atom_site_fract_x
_atom_site_fract_y
_atom_site_fract_z
Ta1 0.0000 0.0000 0.0000
Fe1 0.0000 0.5000 0.5000
O1 0.0000 0.1916 0.5000
O2 0.1993 0.5000 0.0000
```

Main lines, low angle first (10 to 90 degrees two-theta):
d 4.731, 18.76°, I = 70, hkl 1 1 0
d 3.394, 26.26°, I = 68, hkl 0 2 0
d 3.300, 27.02°, I = 63, hkl 2 0 0
d 3.078, 29.01°, I = 12, hkl 0 0 1
d 2.580, 34.77°, I = 100, hkl 1 1 1
d 2.366, 38.04°, I = 30, hkl 2 2 0
d 2.280, 39.53°, I = 24, hkl 0 2 1
d 2.093, 43.24°, I = 15, hkl 3 1 0
d 1.876, 48.54°, I = 12, hkl 2 2 1
d 1.757, 52.05°, I = 44, hkl 1 3 1
d 1.730, 52.91°, I = 41, hkl 3 1 1
d 1.404, 66.63°, I = 25, hkl 3 3 1



(4)
The following is a theoretical X-ray diffraction stick pattern of Ta2FeO6. It was derived from a DFT-relaxed cell (PBE+U, the Materials Project), using λ = 1.5418 Å (Cu Kα).

Cell and atoms:
```
data_Ta2FeO6
_chemical_formula_sum 'Ta12 Fe6 O36'
_cell_length_a 4.8264
_cell_length_b 14.4475
_cell_length_c 9.3167
_cell_angle_alpha 90.00
_cell_angle_beta 90.00
_cell_angle_gamma 90.00
_space_group_name_H-M_alt 'P 21 21 2'
_space_group_IT_number 18
loop_
_space_group_symop_operation_xyz
'x,y,z'
'-x,-y,z'
'x+1/2,-y+1/2,-z'
'-x+1/2,y+1/2,-z'
loop_
_atom_site_label
_atom_site_fract_x
_atom_site_fract_y
_atom_site_fract_z
Ta1 0.0000 0.0000 0.0925
Ta2 0.0000 0.0000 0.7525
Ta3 0.0016 0.3375 0.4154
Ta4 0.0035 0.3294 0.7608
Fe1 0.0000 0.0000 0.4177
Fe2 0.0072 0.3323 0.0833
O1 0.1771 0.6032 0.5791
O2 0.1881 0.9384 0.9172
O3 0.1971 0.2632 0.9007
O4 0.2016 0.9303 0.5980
O5 0.2049 0.2633 0.2674
O6 0.2060 0.2698 0.5823
O7 0.2056 0.9315 0.2382
O8 0.2080 0.5985 0.2656
O9 0.2100 0.5995 0.9015
```

Main lines, low angle first (10 to 90 degrees two-theta):
d 4.109, 21.63°, I = 8, hkl 1 1 1
d 3.409, 26.14°, I = 100, hkl 1 3 0
d 2.611, 34.35°, I = 79, hkl 1 0 3
d 2.411, 37.30°, I = 24, hkl 2 0 0
d 1.771, 51.61°, I = 64, hkl 2 3 3
d 1.705, 53.78°, I = 17, hkl 2 6 0
d 1.526, 60.69°, I = 8, hkl 3 3 0
d 1.428, 65.32°, I = 10, hkl 3 0 3
d 1.426, 65.45°, I = 9, hkl 0 9 3
d 1.413, 66.13°, I = 14, hkl 1 3 6
d 1.228, 77.76°, I = 14, hkl 3 6 3
d 1.148, 84.38°, I = 8, hkl 2 6 6



(5)
The following is a theoretical X-ray diffraction stick pattern of TaTiFeO6. It was derived from a DFT-relaxed cell (PBE+U, the Materials Project), using λ = 1.5418 Å (Cu Kα).

Cell and atoms:
```
data_TaTiFeO6
_chemical_formula_sum 'Ta2 Ti2 Fe2 O12'
_cell_length_a 4.7094
_cell_length_b 4.7094
_cell_length_c 9.0909
_cell_angle_alpha 90.00
_cell_angle_beta 90.00
_cell_angle_gamma 90.00
_space_group_name_H-M_alt 'P 42 n m'
_space_group_IT_number 102
loop_
_space_group_symop_operation_xyz
'x,y,z'
'-y+1/2,x+1/2,z+1/2'
'-x,-y,z'
'y+1/2,-x+1/2,z+1/2'
'-x+1/2,y+1/2,z+1/2'
'y,x,z'
'x+1/2,-y+1/2,z+1/2'
'-y,-x,z'
loop_
_atom_site_label
_atom_site_fract_x
_atom_site_fract_y
_atom_site_fract_z
Ta1 0.0000 0.0000 0.0000
Ti1 0.0000 0.0000 0.6653
Fe1 0.0000 0.0000 0.3339
O1 0.1926 0.1926 0.8314
O2 0.1969 0.1969 0.5039
O3 0.2001 0.2001 0.1622
```

Main lines, low angle first (10 to 90 degrees two-theta):
d 4.545, 19.53°, I = 19, hkl 0 0 2
d 4.182, 21.25°, I = 59, hkl 1 0 1
d 3.330, 26.77°, I = 100, hkl 1 1 0
d 2.686, 33.35°, I = 20, hkl 1 1 2
d 2.548, 35.22°, I = 70, hkl 1 0 3
d 2.355, 38.22°, I = 19, hkl 2 0 0
d 2.052, 44.14°, I = 19, hkl 2 1 1
d 1.729, 52.94°, I = 63, hkl 2 1 3
d 1.665, 55.16°, I = 17, hkl 2 2 0
d 1.489, 62.35°, I = 14, hkl 3 1 0
d 1.394, 67.16°, I = 19, hkl 3 0 3
d 1.379, 67.97°, I = 13, hkl 1 1 6



(6)
The following is a theoretical X-ray diffraction stick pattern of TaZn2FeO6. It was derived from a DFT-relaxed cell (PBE+U, the Materials Project), using λ = 1.5418 Å (Cu Kα).

Cell and atoms:
```
data_TaZn2FeO6
_chemical_formula_sum 'Ta2 Zn4 Fe2 O12'
_cell_length_a 5.2622
_cell_length_b 7.7165
_cell_length_c 5.3408
_cell_angle_alpha 90.00
_cell_angle_beta 90.82
_cell_angle_gamma 90.00
_space_group_name_H-M_alt 'P 1 21/m 1'
_space_group_IT_number 11
loop_
_space_group_symop_operation_xyz
'x,y,z'
'-x,-y,-z'
'-x,y+1/2,-z'
'x,-y+1/2,z'
loop_
_atom_site_label
_atom_site_fract_x
_atom_site_fract_y
_atom_site_fract_z
Ta1 0.0000 0.0000 0.0000
Zn1 0.0159 0.2500 0.4825
Zn2 0.4966 0.7500 0.0463
Fe1 0.5000 0.0000 0.5000
O1 0.1208 0.2500 0.0652
O2 0.1671 0.5637 0.3205
O3 0.3198 0.5648 0.8275
O4 0.3852 0.2500 0.5798
```

Main lines, low angle first (10 to 90 degrees two-theta):
d 5.340, 16.60°, I = 30, hkl 0 0 1
d 5.262, 16.85°, I = 31, hkl 1 0 0
d 2.698, 33.20°, I = 100, hkl 1 2 -1
d 2.679, 33.45°, I = 99, hkl 1 2 1
d 2.670, 33.56°, I = 49, hkl 0 0 2
d 2.631, 34.08°, I = 46, hkl 2 0 0
d 1.929, 47.11°, I = 26, hkl 0 4 0
d 1.861, 48.95°, I = 22, hkl 2 0 2
d 1.564, 59.08°, I = 23, hkl 0 4 2
d 1.556, 59.41°, I = 22, hkl 2 4 0
d 1.535, 60.28°, I = 24, hkl 3 2 -1
d 1.524, 60.76°, I = 23, hkl 3 2 1



(7)
The following is a theoretical X-ray diffraction stick pattern of Ta2Zn2FeO8. It was derived from a DFT-relaxed cell (PBE+U, the Materials Project), using λ = 1.5418 Å (Cu Kα).

Cell and atoms:
```
data_Ta2Zn2FeO8
_chemical_formula_sum 'Ta8 Zn8 Fe4 O32'
_cell_length_a 5.9495
_cell_length_b 10.6250
_cell_length_c 11.4531
_cell_angle_alpha 117.21
_cell_angle_beta 104.95
_cell_angle_gamma 90.04
_space_group_name_H-M_alt 'P 1'
_space_group_IT_number 1
loop_
_space_group_symop_operation_xyz
'x,y,z'
loop_
_atom_site_label
_atom_site_fract_x
_atom_site_fract_y
_atom_site_fract_z
Ta1 0.0000 0.0000 0.0000
Ta2 0.0004 0.5000 0.0000
Ta3 0.2304 0.2145 0.4618
Ta4 0.2314 0.7145 0.4622
Ta5 0.3140 0.2500 0.9999
Ta6 0.3146 0.7505 0.0004
Ta7 0.5442 0.4647 0.4626
Ta8 0.5440 0.9647 0.4620
Zn1 0.1433 0.0651 0.6673
Zn2 0.1436 0.5652 0.6676
Zn3 0.4018 0.3994 0.7945
Zn4 0.4019 0.8994 0.7946
Zn5 0.7080 0.1496 0.7951
Zn6 0.7082 0.6497 0.7954
Zn7 0.8362 0.3145 0.6662
Zn8 0.8365 0.8147 0.6663
Fe1 0.6252 0.1067 0.2318
Fe2 0.6256 0.6059 0.2319
Fe3 0.9195 0.3564 0.2318
Fe4 0.9202 0.8561 0.2319
O1 0.0914 0.3777 0.0901
O2 0.0914 0.8781 0.0904
O3 0.1146 0.3555 0.6180
O4 0.1150 0.8555 0.6180
O5 0.2002 0.3393 0.8761
O6 0.2001 0.8391 0.8760
O7 0.2262 0.3380 0.3710
O8 0.2270 0.8367 0.3701
O9 0.3122 0.1277 0.0900
O10 0.3127 0.6281 0.0903
O11 0.3453 0.1255 0.5854
O12 0.3462 0.6257 0.5859
O13 0.4285 0.1084 0.8426
O14 0.4288 0.6086 0.8431
O15 0.4578 0.0879 0.3708
O16 0.4580 0.5873 0.3706
O17 0.5525 0.3756 0.5858
O18 0.5528 0.8757 0.5856
O19 0.5919 0.3714 0.1117
O20 0.5920 0.8728 0.1121
O21 0.7026 0.3381 0.3505
O22 0.7036 0.8386 0.3505
O23 0.7291 0.3586 0.8430
O24 0.7291 0.8584 0.8427
O25 0.8162 0.1054 0.6180
O26 0.8166 0.6054 0.6180
O27 0.8331 0.1218 0.1114
O28 0.8351 0.6220 0.1127
O29 0.9605 0.0880 0.3503
O30 0.9613 0.5881 0.3512
O31 0.9910 0.0890 0.8757
O32 0.9910 0.5892 0.8760
```

Main lines, low angle first (10 to 90 degrees two-theta):
d 5.690, 15.57°, I = 32, hkl 1 0 0
d 4.873, 18.20°, I = 42, hkl 0 0 2
d 3.883, 22.90°, I = 65, hkl 1 2 -1
d 3.375, 26.41°, I = 36, hkl 1 2 -3
d 3.261, 27.35°, I = 71, hkl 1 0 -3
d 2.787, 32.12°, I = 100, hkl 1 2 1
d 2.771, 32.30°, I = 73, hkl 1 -2 3
d 2.656, 33.74°, I = 62, hkl 0 4 -2
d 2.596, 34.56°, I = 93, hkl 2 -2 0
d 1.768, 51.71°, I = 37, hkl 3 0 1
d 1.561, 59.20°, I = 30, hkl 1 6 -1
d 1.522, 60.88°, I = 30, hkl 2 -6 2